Record 1
Computed powder diffractogram
Compound: CsTh3F13
Radiation: Cu Kα
Structure: a structure optimized by DFT (PBE)
Kinematic intensities with the Lorentz-polarization factor, no thermal factor.

Crystal structure
Lattice parameters (Å, degrees): 8.268 7.665 8.704 90.00 90.00 90.00
Element x y z (fractional)
1 Cs 0.000 0.107 0.000
2 Cs 0.000 0.893 0.500
3 Th 0.250 0.395 0.631
4 Th 0.250 0.605 0.131
5 Th 0.500 0.110 0.294
6 Th 0.500 0.890 0.794
7 Th 0.750 0.395 0.631
8 Th 0.750 0.605 0.131
9 F 0.000 0.233 0.660
10 F 0.000 0.446 0.143
11 F 0.000 0.554 0.643
12 F 0.000 0.767 0.160
13 F 0.202 0.454 0.893
14 F 0.202 0.546 0.393
15 F 0.250 0.180 0.438
16 F 0.250 0.820 0.938
17 F 0.308 0.112 0.749
18 F 0.308 0.888 0.249
19 F 0.333 0.314 0.163
20 F 0.333 0.686 0.663
21 F 0.500 0.035 0.029
22 F 0.500 0.364 0.474
23 F 0.500 0.392 0.755
24 F 0.500 0.608 0.255
25 F 0.500 0.636 0.974
26 F 0.500 0.965 0.529
27 F 0.667 0.314 0.163
28 F 0.667 0.686 0.663
29 F 0.692 0.112 0.749
30 F 0.692 0.888 0.249
31 F 0.750 0.180 0.438
32 F 0.750 0.820 0.938
33 F 0.798 0.454 0.893
34 F 0.798 0.546 0.393

The 8 most intense peaks (5° ≤ 2θ ≤ 70°), in order of rising 2θ:
d [Å]	2theta	intensity	(hkl)
3.851	23.09	37	1 0 2
3.785	23.51	58	0 1 2
3.638	24.47	100	2 1 0
3.507	25.39	86	0 2 1
3.357	26.55	67	2 1 1
2.997	29.81	39	2 0 2
2.108	42.90	58	2 3 1
2.019	44.90	78	2 2 3

Record 2
Computed powder diffractogram
Compound: YSiPt
Radiation: Cu Kα
Structure: a structure optimized by DFT (PBE)
Kinematic intensities with the Lorentz-polarization factor, no thermal factor.

Crystal structure
Lattice parameters (Å, degrees): 7.021 4.315 7.469 90.00 90.00 90.00
Element x y z (fractional)
1 Y 0.002 0.250 0.202
2 Y 0.498 0.750 0.702
3 Y 0.502 0.250 0.298
4 Y 0.998 0.750 0.798
5 Si 0.187 0.250 0.587
6 Si 0.313 0.750 0.087
7 Si 0.687 0.250 0.913
8 Si 0.813 0.750 0.413
9 Pt 0.199 0.750 0.415
10 Pt 0.301 0.250 0.915
11 Pt 0.699 0.750 0.085
12 Pt 0.801 0.250 0.585

The 8 most intense peaks (5° ≤ 2θ ≤ 70°), in order of rising 2θ:
d [Å]	2theta	intensity	(hkl)
3.298	27.04	100	1 0 2
2.620	34.23	27	1 1 2
2.558	35.08	82	2 1 1
2.233	40.39	22	3 0 1
2.157	41.88	72	0 2 0
1.805	50.56	19	1 2 2
1.649	55.74	16	2 2 2
1.384	67.68	16	1 1 5

Copy entry 2 word for word.
Computed powder diffractogram
Compound: YSiPt
Radiation: Cu Kα
Structure: a structure optimized by DFT (PBE)
Kinematic intensities with the Lorentz-polarization factor, no thermal factor.

Crystal structure
Lattice parameters (Å, degrees): 7.021 4.315 7.469 90.00 90.00 90.00
Element x y z (fractional)
1 Y 0.002 0.250 0.202
2 Y 0.498 0.750 0.702
3 Y 0.502 0.250 0.298
4 Y 0.998 0.750 0.798
5 Si 0.187 0.250 0.587
6 Si 0.313 0.750 0.087
7 Si 0.687 0.250 0.913
8 Si 0.813 0.750 0.413
9 Pt 0.199 0.750 0.415
10 Pt 0.301 0.250 0.915
11 Pt 0.699 0.750 0.085
12 Pt 0.801 0.250 0.585

The 8 most intense peaks (5° ≤ 2θ ≤ 70°), in order of rising 2θ:
d [Å]	2theta	intensity	(hkl)
3.298	27.04	100	1 0 2
2.620	34.23	27	1 1 2
2.558	35.08	82	2 1 1
2.233	40.39	22	3 0 1
2.157	41.88	72	0 2 0
1.805	50.56	19	1 2 2
1.649	55.74	16	2 2 2
1.384	67.68	16	1 1 5